The following is a theoretical XRD peak list of Sr3Ca5Mn8O23. It was derived from the PBE+U geometry in Alexandria, using Cu Kα, 1.54184 Å.

Atomic structure:
```
Sr3Ca5Mn8O23
1.0
7.638 0.000 0.000
0.000 7.763 0.000
-0.040 0.000 7.677
Sr Ca Mn O
3 5 8 23
Direct
0.000 0.000 0.000
0.018 0.500 0.982
0.503 0.500 0.981
0.029 0.500 0.460
0.470 0.000 0.489
0.489 0.000 0.016
0.526 0.500 0.465
0.999 0.000 0.497
0.256 0.251 0.735
0.256 0.749 0.735
0.257 0.249 0.241
0.257 0.751 0.241
0.749 0.234 0.729
0.749 0.766 0.729
0.756 0.250 0.242
0.756 0.750 0.242
0.000 0.229 0.767
0.000 0.771 0.767
0.007 0.279 0.213
0.007 0.721 0.213
0.214 0.500 0.711
0.218 0.216 0.489
0.218 0.784 0.489
0.242 0.000 0.217
0.284 0.267 0.989
0.284 0.500 0.268
0.284 0.733 0.989
0.302 0.000 0.759
0.508 0.220 0.278
0.508 0.299 0.700
0.508 0.701 0.700
0.508 0.780 0.278
0.719 0.225 0.982
0.719 0.775 0.982
0.724 0.000 0.672
0.727 0.500 0.210
0.790 0.304 0.493
0.790 0.696 0.493
0.792 0.000 0.270
```

Principal peaks in the range 2θ from 10° to 90°, in order of falling intensity:
hkl	2θ (°)	I (rel.)
0 2 2	32.9	100
2 0 -2	33.0	23
2 0 2	33.2	22
0 4 0	46.8	19
2 2 4	59.0	19
0 0 4	47.4	18
4 0 0	47.6	18
4 2 2	59.2	11
2 4 -2	58.5	10
2 4 2	58.6	10